Record 1
Computed X-ray diffraction stick pattern
Compound: LiVPO5
Radiation: Cu Kα X-rays
Structure: DFT lattice parameters and positions (GGA+U)

Atomic structure:
Cell: 6.0615 7.3586 9.9500 Å, 90.00 90.00 90.00°
Space group P2_12_12_1 (No. 19)
Asymmetric unit:
Li 0.0670 0.0718 0.4403 (multiplicity 4)
V 0.0947 0.5478 0.5506 (multiplicity 4)
P 0.2041 0.3479 0.8280 (multiplicity 4)
O 0.0024 0.2232 0.8122 (multiplicity 4)
O 0.1033 0.7466 0.4068 (multiplicity 4)
O 0.1152 0.9133 0.9819 (multiplicity 4)
O 0.1557 0.5097 0.9268 (multiplicity 4)
O 0.2200 0.5837 0.1885 (multiplicity 4)

Largest 8 diffraction maxima, in order of rising 2θ, 2θ = 5–70°:
two_theta, Rel. int., h k l
14.97, 47, 0 1 1
17.13, 31, 1 0 1
17.83, 19, 0 0 2
18.97, 100, 1 1 0
20.98, 87, 1 1 1
29.79, 18, 1 2 1
30.21, 26, 0 2 2
39.52, 33, 1 2 3

***

Record 2
Computed X-ray diffraction stick pattern
Compound: Li7MnP4O14F
Radiation: Cu Kα X-rays
Structure: DFT lattice parameters and positions (GGA+U)

Atomic structure:
Cell: 9.8706 8.1257 14.6759 Å, 90.00 98.02 90.00°
Space group Cc (No. 9)
Asymmetric unit:
Li 0.0000 0.0753 0.0000 (multiplicity 4)
Li 0.1252 0.4225 0.8273 (multiplicity 4)
Li 0.1946 0.2294 0.4860 (multiplicity 4)
Li 0.2898 0.2969 0.9970 (multiplicity 4)
Li 0.3163 0.4153 0.6616 (multiplicity 4)
Li 0.3538 0.2811 0.3348 (multiplicity 4)
Li 0.4504 0.2704 0.8470 (multiplicity 4)
Mn 0.3194 0.0000 0.1639 (multiplicity 4)
P 0.0337 0.1843 0.6663 (multiplicity 4)
P 0.1139 0.3243 0.1647 (multiplicity 4)
P 0.1731 0.0453 0.8392 (multiplicity 4)
P 0.4864 0.0257 0.4896 (multiplicity 4)
O 0.0135 0.3550 0.4530 (multiplicity 4)
O 0.0176 0.3334 0.9271 (multiplicity 4)
O 0.0456 0.0606 0.7545 (multiplicity 4)
O 0.0963 0.0397 0.4100 (multiplicity 4)
O 0.0993 0.4633 0.0830 (multiplicity 4)
O 0.1617 0.1750 0.1128 (multiplicity 4)
O 0.1771 0.2059 0.6373 (multiplicity 4)
O 0.2184 0.4088 0.2373 (multiplicity 4)
O 0.2362 0.2173 0.8604 (multiplicity 4)
O 0.2771 0.0653 0.3021 (multiplicity 4)
O 0.3469 0.0434 0.5231 (multiplicity 4)
O 0.4302 0.4036 0.0949 (multiplicity 4)
O 0.4752 0.2087 0.6999 (multiplicity 4)
O 0.4842 0.1585 0.2080 (multiplicity 4)
F 0.3076 0.4173 0.4383 (multiplicity 4)

Largest 8 diffraction maxima, in order of rising 2θ, 2θ = 5–70°:
two_theta, Rel. int., h k l
12.18, 61, 0 0 2
14.17, 100, 1 1 0
19.55, 38, 1 1 2
22.73, 31, 0 2 1
24.50, 33, 0 0 4
30.51, 42, 3 1 -2
32.18, 60, 2 2 2
32.70, 25, 2 0 4

***

Record 3
Computed X-ray diffraction stick pattern
Compound: Li3Mn2FeB3O9
Radiation: Cu Kα X-rays
Structure: DFT lattice parameters and positions (GGA+U)

Atomic structure:
Cell: 8.2539 3.1705 14.3166 Å, 90.00 90.06 90.00°
Space group Pm (No. 6)
Asymmetric unit:
Li 0.0000 0.0000 0.0000 (multiplicity 1)
Li 0.0263 0.0000 0.2928 (multiplicity 1)
Li 0.0748 0.0000 0.6591 (multiplicity 1)
Li 0.5016 0.0000 0.4997 (multiplicity 1)
Li 0.5279 0.0000 0.7928 (multiplicity 1)
Li 0.5762 0.0000 0.1596 (multiplicity 1)
Mn 0.1770 0.5000 0.4709 (multiplicity 1)
Mn 0.1946 0.5000 0.8361 (multiplicity 1)
Mn 0.2348 0.5000 0.1446 (multiplicity 1)
Mn 0.7327 0.5000 0.6449 (multiplicity 1)
Fe 0.6802 0.5000 0.9710 (multiplicity 1)
Fe 0.6925 0.5000 0.3345 (multiplicity 1)
B 0.3680 0.5000 0.6507 (multiplicity 1)
B 0.3704 0.0000 0.3172 (multiplicity 1)
B 0.3707 0.0000 0.9836 (multiplicity 1)
B 0.8664 0.0000 0.4830 (multiplicity 1)
B 0.8671 0.0000 0.8185 (multiplicity 1)
B 0.8670 0.5000 0.1515 (multiplicity 1)
O 0.0048 0.5000 0.2070 (multiplicity 1)
O 0.0184 0.0000 0.8611 (multiplicity 1)
O 0.0198 0.0000 0.5241 (multiplicity 1)
O 0.2131 0.5000 0.6897 (multiplicity 1)
O 0.2304 0.0000 0.3709 (multiplicity 1)
O 0.2317 0.0000 0.0394 (multiplicity 1)
O 0.3544 0.0000 0.8868 (multiplicity 1)
O 0.3587 0.0000 0.2204 (multiplicity 1)
O 0.3867 0.5000 0.5539 (multiplicity 1)
O 0.5039 0.5000 0.7085 (multiplicity 1)
O 0.5217 0.0000 0.3599 (multiplicity 1)
O 0.5238 0.0000 0.0240 (multiplicity 1)
O 0.7141 0.5000 0.1930 (multiplicity 1)
O 0.7277 0.0000 0.8730 (multiplicity 1)
O 0.7294 0.0000 0.5398 (multiplicity 1)
O 0.8499 0.0000 0.3864 (multiplicity 1)
O 0.8560 0.0000 0.7217 (multiplicity 1)
O 0.8803 0.5000 0.0542 (multiplicity 1)

Largest 8 diffraction maxima, in order of rising 2θ, 2θ = 5–70°:
two_theta, Rel. int., h k l
21.52, 100, 1 0 3
30.85, 17, 1 1 1
33.13, 17, 1 0 -5
35.70, 80, 1 1 3
37.73, 32, 3 0 3
47.73, 28, 3 1 -3
52.92, 25, 2 1 6
54.57, 18, 3 1 -5

***

Record 4
Computed X-ray diffraction stick pattern
Compound: V3OF11
Radiation: Cu Kα X-rays
Structure: DFT lattice parameters and positions (GGA+U)

Atomic structure:
Cell: 5.2593 5.4619 14.7515 Å, 100.27 90.03 90.25°
Space group P-1 (No. 2)
Asymmetric unit:
V 0.0000 0.0000 0.0000 (multiplicity 1)
V 0.0083 0.3218 0.6676 (multiplicity 2)
V 0.4746 0.2081 0.3365 (multiplicity 2)
V 0.5000 0.5000 0.0000 (multiplicity 1)
O 0.2953 0.4593 0.3563 (multiplicity 2)
F 0.0770 0.2963 0.5486 (multiplicity 2)
F 0.0855 0.9577 0.8824 (multiplicity 2)
F 0.0897 0.6168 0.2159 (multiplicity 2)
F 0.1966 0.3114 0.0245 (multiplicity 2)
F 0.2084 0.9779 0.3583 (multiplicity 2)
F 0.2136 0.6368 0.6909 (multiplicity 2)
F 0.2935 0.1406 0.6908 (multiplicity 2)
F 0.3030 0.8111 0.0250 (multiplicity 2)
F 0.4063 0.8027 0.5517 (multiplicity 2)
F 0.4127 0.4611 0.8825 (multiplicity 2)
F 0.4264 0.1063 0.2172 (multiplicity 2)

Largest 8 diffraction maxima, in order of rising 2θ, 2θ = 5–70°:
two_theta, Rel. int., h k l
18.34, 100, 0 0 3
25.20, 91, -1 1 1
25.29, 90, 1 1 1
32.79, 17, 0 2 -1
37.17, 16, 0 0 6
47.92, 14, 2 -2 1
48.14, 16, 2 2 -1
53.25, 18, 1 -1 8

***

Record 5
Computed X-ray diffraction stick pattern
Compound: Sr2TaFeO6
Radiation: Cu Kα X-rays
Structure: DFT lattice parameters and positions (GGA+U)

Atomic structure:
Cell: 8.0297 8.0297 8.0297 Å, 90.00 90.00 90.00°
Space group Fm-3m (No. 225)
Asymmetric unit:
Sr 0.2500 0.2500 0.2500 (multiplicity 8)
Ta 0.0000 0.0000 0.0000 (multiplicity 4)
Fe 0.0000 0.0000 0.5000 (multiplicity 4)
O 0.0000 0.0000 0.2482 (multiplicity 24)

Largest 8 diffraction maxima, in order of rising 2θ, 2θ = 5–70°:
two_theta, Rel. int., h k l
19.14, 22, 1 1 1
22.14, 8, 2 0 0
31.51, 100, 2 2 0
37.14, 13, 3 1 1
45.17, 32, 4 0 0
49.48, 6, 3 3 1
56.11, 40, 4 2 2
65.79, 20, 4 4 0

***

Record 6
Computed X-ray diffraction stick pattern
Compound: Li9Mn2Co5O16
Radiation: Cu Kα X-rays
Structure: DFT lattice parameters and positions (GGA+U)

Atomic structure:
Cell: 5.0467 5.8482 10.1227 Å, 88.93 80.96 72.92°
Space group P1 (No. 1)
Asymmetric unit:
Li 0.0000 0.0000 0.0000 (multiplicity 1)
Li 0.0012 0.0011 0.5010 (multiplicity 1)
Li 0.0007 0.2497 0.7457 (multiplicity 1)
Li 0.0072 0.4985 0.5038 (multiplicity 1)
Li 0.4924 0.6304 0.3829 (multiplicity 1)
Li 0.4974 0.8752 0.1308 (multiplicity 1)
Li 0.5049 0.1258 0.8735 (multiplicity 1)
Li 0.5073 0.3711 0.6248 (multiplicity 1)
Li 0.9976 0.7548 0.2586 (multiplicity 1)
Mn 0.5026 0.8780 0.6202 (multiplicity 1)
Mn 0.9972 0.2466 0.2598 (multiplicity 1)
Co 0.0035 0.7575 0.7432 (multiplicity 1)
Co 0.4982 0.1251 0.3787 (multiplicity 1)
Co 0.4988 0.3785 0.1277 (multiplicity 1)
Co 0.5026 0.6241 0.8751 (multiplicity 1)
Co 0.9970 0.5045 0.0016 (multiplicity 1)
O 0.2309 0.2082 0.0750 (multiplicity 1)
O 0.2433 0.4140 0.3139 (multiplicity 1)
O 0.2450 0.4601 0.8196 (multiplicity 1)
O 0.2495 0.9650 0.3134 (multiplicity 1)
O 0.2602 0.6728 0.0630 (multiplicity 1)
O 0.2660 0.6987 0.5727 (multiplicity 1)
O 0.2683 0.9279 0.8022 (multiplicity 1)
O 0.2841 0.1692 0.5575 (multiplicity 1)
O 0.7201 0.8331 0.4466 (multiplicity 1)
O 0.7441 0.0838 0.2010 (multiplicity 1)
O 0.7435 0.3238 0.9440 (multiplicity 1)
O 0.7436 0.5794 0.6876 (multiplicity 1)
O 0.7490 0.0377 0.6909 (multiplicity 1)
O 0.7492 0.2980 0.4239 (multiplicity 1)
O 0.7540 0.7931 0.9403 (multiplicity 1)
O 0.7595 0.5405 0.1893 (multiplicity 1)

Largest 8 diffraction maxima, in order of rising 2θ, 2θ = 5–70°:
two_theta, Rel. int., h k l
18.42, 100, 0 1 1
36.03, 14, 1 1 -3
36.13, 13, 2 1 1
36.53, 12, 1 -1 3
43.49, 28, 1 0 -4
43.74, 28, 2 2 2
44.28, 26, 1 -2 2
63.66, 15, 3 2 -2